1.
Diffraction record for NbH5. The PXRD pattern is theoretical, not measured: it uses DFT lattice parameters and positions (GGA-PBE) and Cu Kα, 1.54184 Å.
Lines closer than 0.1° are merged.

Most intense lines, 2θ from 15° to 90°, by angle:
- 2θ = 18.9°, I = 1000
- 2θ = 21.7°, I = 179
- 2θ = 30.2°, I = 688
- 2θ = 31.2°, I = 448
- 2θ = 36.4°, I = 548
- 2θ = 39.2°, I = 792
- 2θ = 43.9°, I = 468
- 2θ = 55.7°, I = 179
- 2θ = 58.9°, I = 142
- 2θ = 60.8°, I = 117

Cell: 3.1755 5.2489 5.2506 Å, 102.76 107.49 107.60°
Positions (direct):
Nb  0.2502  0.1567  0.3433
Nb  0.7498  0.8433  0.6567
H  0.0812  0.7595  0.4038
H  0.0966  0.2014  0.9879
H  0.2522  0.7205  0.7856
H  0.4053  0.5124  0.2992
H  0.4173  0.0979  0.7380
H  0.5827  0.9021  0.2620
H  0.5947  0.4876  0.7008
H  0.7478  0.2795  0.2144
H  0.9034  0.7986  0.0121
H  0.9188  0.2405  0.5962

***

2.
Diffraction record for NbH3. The PXRD pattern is theoretical, not measured: it uses DFT lattice parameters and positions (GGA-PBE) and Cu Kα, 1.54184 Å.
Lines closer than 0.1° are merged.

Most intense lines, 2θ from 15° to 90°, by angle:
- 2θ = 32.7°, I = 1000
- 2θ = 33.7°, I = 932
- 2θ = 38.3°, I = 640
- 2θ = 39.1°, I = 310
- 2θ = 53.9°, I = 116
- 2θ = 55.8°, I = 442
- 2θ = 65.1°, I = 254
- 2θ = 66.8°, I = 122
- 2θ = 66.9°, I = 250
- 2θ = 67.4°, I = 122

Cell: 5.7306 5.6429 4.7086 Å, 66.52 64.58 48.91°
Positions (direct):
Nb  0.0000  0.5000  0.0000
Nb  0.2347  0.7653  0.2347
Nb  0.5000  0.0000  0.5000
Nb  0.7653  0.2347  0.7653
H  0.0539  0.3325  0.6675
H  0.1253  0.1253  0.3747
H  0.1622  0.8378  0.8378
H  0.3325  0.0539  0.9461
H  0.3747  0.3747  0.1253
H  0.3877  0.3877  0.6123
H  0.6123  0.6123  0.3877
H  0.6253  0.6253  0.8747
H  0.6675  0.9461  0.0539
H  0.8378  0.1622  0.1622
H  0.8747  0.8747  0.6253
H  0.9461  0.6675  0.3325

***

3.
Diffraction record for Nb2H5. The PXRD pattern is theoretical, not measured: it uses DFT lattice parameters and positions (GGA-PBE) and Cu Kα, 1.54184 Å.
Lines closer than 0.1° are merged.

Most intense lines, 2θ from 15° to 90°, by angle:
- 2θ = 31.7°, I = 77
- 2θ = 32.9°, I = 435
- 2θ = 34.4°, I = 346
- 2θ = 36.2°, I = 1000
- 2θ = 41.2°, I = 229
- 2θ = 54.7°, I = 105
- 2θ = 56.4°, I = 255
- 2θ = 62.8°, I = 197
- 2θ = 67.8°, I = 274
- 2θ = 68.9°, I = 146

Cell: 3.2615 3.2615 10.4216 Å, 90.00 90.00 120.00°
Positions (direct):
Nb  0.0000  0.0000  0.0000
Nb  0.0000  0.0000  0.5000
Nb  0.3333  0.6667  0.2567
Nb  0.6667  0.3333  0.7567
H  0.0000  0.0000  0.3128
H  0.0000  0.0000  0.8128
H  0.3333  0.6667  0.0758
H  0.3333  0.6667  0.4644
H  0.3333  0.6667  0.7001
H  0.3333  0.6667  0.9022
H  0.6667  0.3333  0.2001
H  0.6667  0.3333  0.4022
H  0.6667  0.3333  0.5758
H  0.6667  0.3333  0.9644